Starting from a DFT-relaxed cell (GGA-PBE, the Materials Project), the X-ray diffraction stick pattern of Cr12P7 was computed for Cu Kα X-rays.

Top 10 peaks for 2θ from 15° to 90°, low angle first:
- 2θ 40.0, I = 15
- 2θ 41.5, I = 100
- 2θ 41.7, I = 27
- 2θ 44.8, I = 26
- 2θ 49.4, I = 17
- 2θ 50.8, I = 10
- 2θ 53.8, I = 18
- 2θ 57.3, I = 16
- 2θ 82.5, I = 10
- 2θ 82.8, I = 15

Crystal structure
Cell: 9.0182 9.0182 3.2151 Å, 90.00 90.00 120.00°
Space group P-6 (No. 174)
Inequivalent atoms, fractional coordinates:
Cr 0.0157 0.2645 0.0000
Cr 0.1320 0.6241 0.0000
Cr 0.2227 0.2062 0.5000
Cr 0.5093 0.1403 0.5000
P 0.0000 0.0000 0.0000
P 0.1691 0.4575 0.5000
P 0.4488 0.2890 0.0000